# 1
Calculated X-ray powder pattern of PrS2O6 for Cu Kα X-rays, from DFT lattice parameters and positions (PBE).
Kinematic intensities with the Lorentz-polarization factor, no thermal factor.

The 8 most intense peaks (10° ≤ 2θ ≤ 80°), sorted by position:
2θ 13.3, intensity 898; 2θ 18.8, intensity 1000; 2θ 20.3, intensity 707; 2θ 25.6, intensity 454; 2θ 28.9, intensity 436; 2θ 31.9, intensity 403; 2θ 34.7, intensity 563; 2θ 36.5, intensity 311

Crystal structure
a = 7.399 Å, b = 7.399 Å, c = 7.399 Å
α = 44.60°, β = 44.60°, γ = 44.60°
Sites, in units of the cell vectors:
Pr1 0.000 0.000 0.000
S1 0.269 0.269 0.269
S2 0.397 0.397 0.397
O1 0.097 0.546 0.099
O2 0.099 0.097 0.546
O3 0.269 0.271 0.718
O4 0.271 0.718 0.269
O5 0.546 0.099 0.097
O6 0.718 0.269 0.271



# 2
Calculated X-ray powder pattern of MgTc2Ir for Cu Kα X-rays, from DFT lattice parameters and positions (PBE).
Kinematic intensities with the Lorentz-polarization factor, no thermal factor.

The 8 most intense peaks (10° ≤ 2θ ≤ 80°), sorted by position:
2θ 17.3, intensity 442; 2θ 27.4, intensity 470; 2θ 36.8, intensity 220; 2θ 38.9, intensity 1000; 2θ 41.3, intensity 831; 2θ 43.0, intensity 375; 2θ 48.4, intensity 525; 2θ 66.7, intensity 397

Crystal structure
a = 2.777 Å, b = 4.207 Å, c = 5.120 Å
α = 90.00°, β = 90.08°, γ = 90.00°
Sites, in units of the cell vectors:
Mg1 0.000 0.000 0.000
Tc1 0.500 0.500 0.236
Tc2 0.500 0.500 0.764
Ir1 0.000 0.000 0.500



# 3
Calculated X-ray powder pattern of Pr5Nd5Sm for Cu Kα X-rays, from DFT lattice parameters and positions (PBE).
Kinematic intensities with the Lorentz-polarization factor, no thermal factor.

The 8 most intense peaks (10° ≤ 2θ ≤ 80°), sorted by position:
2θ 24.1, intensity 105; 2θ 30.3, intensity 110; 2θ 30.8, intensity 1000; 2θ 31.4, intensity 716; 2θ 32.1, intensity 230; 2θ 33.6, intensity 99; 2θ 44.0, intensity 104; 2θ 55.5, intensity 131

Crystal structure
a = 7.121 Å, b = 7.127 Å, c = 8.759 Å
α = 76.09°, β = 75.93°, γ = 70.65°
Sites, in units of the cell vectors:
Pr1 0.000 0.000 0.000
Pr2 0.195 0.693 0.357
Pr3 0.268 0.356 0.725
Pr4 0.732 0.644 0.275
Pr5 0.805 0.307 0.643
Nd1 0.146 0.228 0.279
Nd2 0.355 0.854 0.644
Nd3 0.500 0.500 0.000
Nd4 0.645 0.146 0.356
Nd5 0.854 0.772 0.721
Sm1 0.500 0.000 0.000



# 4
Calculated X-ray powder pattern of Ti7CoPd4 for Cu Kα X-rays, from DFT lattice parameters and positions (PBE).
Kinematic intensities with the Lorentz-polarization factor, no thermal factor.

The 8 most intense peaks (10° ≤ 2θ ≤ 80°), sorted by position:
2θ 24.7, intensity 302; 2θ 39.8, intensity 1000; 2θ 41.1, intensity 968; 2θ 58.5, intensity 303; 2θ 58.7, intensity 78; 2θ 71.3, intensity 151; 2θ 74.0, intensity 290; 2θ 74.9, intensity 149

Crystal structure
a = 4.392 Å, b = 4.392 Å, c = 11.284 Å
α = 90.00°, β = 90.00°, γ = 120.00°
Sites, in units of the cell vectors:
Ti1 0.000 0.000 0.000
Ti2 0.000 0.000 0.270
Ti3 0.000 0.000 0.730
Ti4 0.333 0.667 0.158
Ti5 0.333 0.667 0.426
Ti6 0.667 0.333 0.574
Ti7 0.667 0.333 0.842
Co1 0.000 0.000 0.500
Pd1 0.333 0.667 0.663
Pd2 0.333 0.667 0.905
Pd3 0.667 0.333 0.095
Pd4 0.667 0.333 0.337



# 5
Calculated X-ray powder pattern of Sc4Cl3 for Cu Kα X-rays, from DFT lattice parameters and positions (PBE).
Kinematic intensities with the Lorentz-polarization factor, no thermal factor.

The 8 most intense peaks (10° ≤ 2θ ≤ 80°), sorted by position:
2θ 12.4, intensity 140; 2θ 18.7, intensity 91; 2θ 34.7, intensity 1000; 2θ 38.1, intensity 502; 2θ 39.2, intensity 116; 2θ 54.9, intensity 153; 2θ 60.0, intensity 85; 2θ 66.6, intensity 244

Crystal structure
a = 14.429 Å, b = 14.429 Å, c = 14.429 Å
α = 166.69°, β = 166.69°, γ = 18.86°
Sites, in units of the cell vectors:
Sc1 0.068 0.068 0.000
Sc2 0.357 0.357 0.000
Sc3 0.643 0.643 0.000
Sc4 0.932 0.932 0.000
Cl1 0.190 0.190 0.000
Cl2 0.500 0.500 0.000
Cl3 0.810 0.810 0.000



# 6
Calculated X-ray powder pattern of Ce2Ga3Ge for Cu Kα X-rays, from DFT lattice parameters and positions (PBE).
Kinematic intensities with the Lorentz-polarization factor, no thermal factor.

The 8 most intense peaks (10° ≤ 2θ ≤ 80°), sorted by position:
2θ 32.2, intensity 1000; 2θ 32.3, intensity 499; 2θ 42.4, intensity 213; 2θ 42.5, intensity 420; 2θ 42.9, intensity 206; 2θ 54.3, intensity 226; 2θ 61.9, intensity 406; 2θ 71.3, intensity 194

Crystal structure
a = 4.220 Å, b = 4.263 Å, c = 7.359 Å
α = 90.00°, β = 90.00°, γ = 90.00°
Sites, in units of the cell vectors:
Ce1 0.000 0.000 0.000
Ce2 0.000 0.500 0.493
Ga1 0.500 0.000 0.667
Ga2 0.500 0.500 0.159
Ga3 0.500 0.500 0.827
Ge1 0.500 0.000 0.331



# 7
Calculated X-ray powder pattern of Th2Te4I for Cu Kα X-rays, from DFT lattice parameters and positions (PBE).
Kinematic intensities with the Lorentz-polarization factor, no thermal factor.

The 8 most intense peaks (10° ≤ 2θ ≤ 80°), sorted by position:
2θ 11.0, intensity 504; 2θ 11.4, intensity 1000; 2θ 21.7, intensity 532; 2θ 25.9, intensity 906; 2θ 26.4, intensity 612; 2θ 33.6, intensity 552; 2θ 37.3, intensity 717; 2θ 37.7, intensity 294

Crystal structure
a = 9.652 Å, b = 9.652 Å, c = 9.652 Å
α = 120.78°, β = 117.92°, γ = 91.14°
Sites, in units of the cell vectors:
Th1 0.232 0.000 0.232
Th2 0.719 0.464 0.745
Th3 0.719 0.975 0.255
Th4 0.768 0.000 0.768
Te1 0.492 0.197 0.705
Te2 0.492 0.787 0.295
Te3 0.545 0.239 0.306
Te4 0.545 0.754 0.791
Te5 0.933 0.239 0.694
Te6 0.949 0.177 0.228
Te7 0.949 0.721 0.772
Te8 0.964 0.754 0.209
I1 0.158 0.158 0.000
I2 0.210 0.710 0.500



# 8
Calculated X-ray powder pattern of ReMoP3 for Cu Kα X-rays, from DFT lattice parameters and positions (PBE).
Kinematic intensities with the Lorentz-polarization factor, no thermal factor.

The 8 most intense peaks (10° ≤ 2θ ≤ 80°), sorted by position:
2θ 19.2, intensity 253; 2θ 27.3, intensity 1000; 2θ 39.0, intensity 430; 2θ 43.8, intensity 122; 2θ 48.3, intensity 429; 2θ 56.3, intensity 288; 2θ 63.7, intensity 187; 2θ 77.3, intensity 215

Crystal structure
a = 4.619 Å, b = 4.619 Å, c = 4.619 Å
α = 90.00°, β = 90.00°, γ = 90.00°
Sites, in units of the cell vectors:
Re1 0.000 0.000 0.000
Mo1 0.500 0.500 0.500
P1 0.000 0.000 0.500
P2 0.000 0.500 0.000
P3 0.500 0.000 0.000



# 9
Calculated X-ray powder pattern of CaGa6Cu4 for Cu Kα X-rays, from DFT lattice parameters and positions (PBE).
Kinematic intensities with the Lorentz-polarization factor, no thermal factor.

The 8 most intense peaks (10° ≤ 2θ ≤ 80°), sorted by position:
2θ 14.1, intensity 377; 2θ 36.5, intensity 1000; 2θ 38.0, intensity 405; 2θ 44.5, intensity 818; 2θ 45.4, intensity 350; 2θ 49.3, intensity 207; 2θ 50.5, intensity 227; 2θ 60.7, intensity 192

Crystal structure
a = 7.230 Å, b = 7.230 Å, c = 3.996 Å
α = 90.00°, β = 90.00°, γ = 120.00°
Sites, in units of the cell vectors:
Ca1 0.000 0.000 0.000
Ga1 0.198 0.397 0.500
Ga2 0.198 0.802 0.500
Ga3 0.534 0.068 0.000
Ga4 0.534 0.466 0.000
Ga5 0.603 0.802 0.500
Ga6 0.932 0.466 0.000
Cu1 0.333 0.667 0.000
Cu2 0.419 0.209 0.500
Cu3 0.791 0.209 0.500
Cu4 0.791 0.581 0.500



# 10
Calculated X-ray powder pattern of Li5Hg3 for Cu Kα X-rays, from DFT lattice parameters and positions (PBE).
Kinematic intensities with the Lorentz-polarization factor, no thermal factor.

The 8 most intense peaks (10° ≤ 2θ ≤ 80°), sorted by position:
2θ 23.9, intensity 178; 2θ 25.0, intensity 1000; 2θ 25.1, intensity 263; 2θ 26.8, intensity 971; 2θ 37.3, intensity 335; 2θ 38.9, intensity 257; 2θ 39.0, intensity 230; 2θ 49.6, intensity 267

Crystal structure
a = 7.952 Å, b = 7.952 Å, c = 7.899 Å
α = 96.66°, β = 96.66°, γ = 140.00°
Sites, in units of the cell vectors:
Li1 0.085 0.734 0.808
Li2 0.258 0.258 0.020
Li3 0.266 0.915 0.192
Li4 0.267 0.462 0.647
Li5 0.462 0.267 0.647
Li6 0.538 0.733 0.353
Li7 0.733 0.538 0.353
Li8 0.734 0.085 0.808
Li9 0.742 0.742 0.980
Li10 0.915 0.266 0.192
Hg1 0.106 0.106 0.330
Hg2 0.232 0.768 0.500
Hg3 0.337 0.663 0.000
Hg4 0.663 0.337 0.000
Hg5 0.768 0.232 0.500
Hg6 0.894 0.894 0.670



# 11
Calculated X-ray powder pattern of Sr2TeS2 for Cu Kα X-rays, from DFT lattice parameters and positions (PBE).
Kinematic intensities with the Lorentz-polarization factor, no thermal factor.

The 8 most intense peaks (10° ≤ 2θ ≤ 80°), sorted by position:
2θ 23.4, intensity 359; 2θ 29.7, intensity 112; 2θ 33.3, intensity 1000; 2θ 38.1, intensity 96; 2θ 41.1, intensity 283; 2θ 47.7, intensity 90; 2θ 59.6, intensity 176; 2θ 63.7, intensity 130

Crystal structure
a = 8.521 Å, b = 8.521 Å, c = 3.797 Å
α = 90.00°, β = 90.00°, γ = 90.00°
Sites, in units of the cell vectors:
Sr1 0.151 0.349 0.000
Sr2 0.349 0.849 0.000
Sr3 0.651 0.151 0.000
Sr4 0.849 0.651 0.000
Te1 0.000 0.000 0.000
Te2 0.500 0.500 0.000
S1 0.153 0.653 0.500
S2 0.347 0.153 0.500
S3 0.653 0.847 0.500
S4 0.847 0.347 0.500



# 12
Calculated X-ray powder pattern of Nd5Sm8Pb for Cu Kα X-rays, from DFT lattice parameters and positions (PBE).
Kinematic intensities with the Lorentz-polarization factor, no thermal factor.

The 8 most intense peaks (10° ≤ 2θ ≤ 80°), sorted by position:
2θ 30.4, intensity 477; 2θ 30.7, intensity 891; 2θ 31.0, intensity 825; 2θ 31.2, intensity 533; 2θ 31.6, intensity 993; 2θ 32.2, intensity 627; 2θ 32.4, intensity 1000; 2θ 33.5, intensity 444

Crystal structure
a = 8.561 Å, b = 8.561 Å, c = 9.215 Å
α = 120.54°, β = 120.54°, γ = 64.31°
Sites, in units of the cell vectors:
Nd1 0.000 0.000 0.000
Nd2 0.245 0.574 0.752
Nd3 0.426 0.755 0.248
Nd4 0.607 0.290 0.127
Nd5 0.710 0.393 0.873
Sm1 0.132 0.394 0.951
Sm2 0.380 0.274 0.356
Sm3 0.449 0.082 0.668
Sm4 0.606 0.868 0.049
Sm5 0.726 0.620 0.644
Sm6 0.838 0.004 0.568
Sm7 0.918 0.551 0.332
Sm8 0.996 0.162 0.432
Pb1 0.251 0.749 0.500